(1)
Starting from a DFT-relaxed cell (GGA-PBE, the Materials Project), the X-ray powder pattern of Li4Ca3Nb6O20 was simulated for Cu Kα X-rays.
Neutral-atom scattering factors, no anomalous dispersion.

Structure:
```
33
Lattice="5.6204 0.0000 0.0000 0.0000 2.8428 14.1892 0.0000 -2.8428 14.1892" Properties=species:S:1:pos:R:3 pbc="T T T"
Li 0.0000 -1.4578 14.1892
Li 0.0000 1.4578 14.1892
Li 2.8102 -1.3944 14.1665
Li 2.8102 1.3944 14.1665
Ca 0.0000 0.0000 4.6021
Ca 0.0000 0.0000 9.1105
Ca 2.8102 0.0000 23.3572
Nb 0.0000 0.0000 17.1127
Nb 0.0000 0.0000 21.1873
Nb 0.0000 0.0000 25.3456
Nb 2.8102 0.0000 2.9109
Nb 2.8102 0.0000 6.9982
Nb 2.8102 0.0000 11.1550
O 0.0000 0.0000 15.2117
O 0.0000 0.0000 19.2914
O 0.0000 0.0000 23.2814
O 0.0000 0.0000 27.2640
O 1.3554 -1.4737 17.3117
O 1.3554 1.4737 17.3117
O 1.3796 -1.3959 7.2359
O 1.3796 1.3959 7.2359
O 1.4082 -1.4247 10.9299
O 1.4082 1.4247 10.9299
O 2.8102 0.0000 1.0095
O 2.8102 0.0000 5.1027
O 2.8102 0.0000 9.0928
O 2.8102 0.0000 13.0728
O 4.2121 -1.4247 10.9299
O 4.2121 1.4247 10.9299
O 4.2408 -1.3959 7.2359
O 4.2408 1.3959 7.2359
O 4.2650 -1.4737 17.3117
O 4.2650 1.4737 17.3117
```

Principal peaks in the range 2θ from 5° to 70°, by intensity:
31.4°, intensity 100; 22.5°, intensity 90; 6.2°, intensity 80; 45.4°, intensity 43; 18.8°, intensity 31; 65.6°, intensity 29; 12.5°, intensity 26; 31.8°, intensity 25; 27.3°, intensity 24; 56.0°, intensity 23; 24.2°, intensity 21; 25.1°, intensity 19

=====

(2)
Starting from a DFT-relaxed cell (GGA-PBE, the Materials Project), the X-ray powder pattern of LiCaO3 was simulated for Cu Kα X-rays.
Neutral-atom scattering factors, no anomalous dispersion.

Structure:
```
5
Lattice="3.7797 0.0000 0.0000 0.0000 3.7797 0.0000 0.0000 0.0000 3.7797" Properties=species:S:1:pos:R:3 pbc="T T T"
Li 0.0000 0.0000 0.0000
Ca 1.8899 1.8899 1.8899
O 0.0000 0.0000 1.8899
O 0.0000 1.8899 0.0000
O 1.8899 0.0000 0.0000
```

Principal peaks in the range 2θ from 5° to 70°, by intensity:
41.4°, intensity 100; 48.1°, intensity 56; 33.5°, intensity 36; 23.5°, intensity 19; 59.9°, intensity 14; 54.3°, intensity 8

=====

(3)
Starting from a DFT-relaxed cell (GGA-PBE, the Materials Project), the X-ray powder pattern of LiCa3OsO6 was simulated for Cu Kα X-rays.
Neutral-atom scattering factors, no anomalous dispersion.

Structure:
```
22
Lattice="4.6699 2.6962 3.6192 -4.6699 2.6962 3.6192 0.0000 -5.3923 3.6192" Properties=species:S:1:pos:R:3 pbc="T T T"
Li 0.0000 0.0000 2.7144
Li 0.0000 0.0000 8.1432
Ca -3.0171 0.1664 4.5240
Ca -1.6527 -2.5297 6.3336
Ca 1.3644 -2.6962 4.5240
Ca -1.3644 2.6961 6.3336
Ca 1.6527 2.5297 4.5240
Ca 3.0172 -0.1664 6.3336
Os 0.0000 0.0000 0.0000
Os 0.0000 0.0000 5.4288
O -4.0702 -1.2006 6.0821
O -0.9953 -4.1252 4.7755
O -0.9953 -1.2671 4.2725
O -3.0748 2.9246 4.7755
O -0.5997 1.4955 4.2725
O -1.5950 0.2284 6.5851
O 1.5950 -0.2284 4.2725
O 0.5997 -1.4955 6.5851
O 3.0748 -2.9246 6.0821
O 0.9953 1.2671 6.5851
O 0.9953 4.1252 6.0821
O 4.0702 1.2006 4.7755
```

Principal peaks in the range 2θ from 5° to 70°, by intensity:
19.7°, intensity 100; 19.0°, intensity 51; 33.2°, intensity 51; 27.5°, intensity 34; 44.6°, intensity 31; 33.6°, intensity 31; 43.7°, intensity 31; 54.4°, intensity 18; 40.0°, intensity 17; 46.3°, intensity 14; 60.4°, intensity 14; 65.2°, intensity 13